Entry 1:
Starting from a structure optimized by DFT (PBE), the powder diffractogram of SrPaSeO2 was simulated for Cu Kα (weighted mean of Kα1 and Kα2).
No peak broadening, texture or thermal motion is included.

Structural model:
a = 4.261 Å, b = 4.261 Å, c = 6.197 Å
α = 90.00°, β = 90.00°, γ = 90.00°
Element x y z (fractional)
Sr: 0.000 0.000 0.000
Pa: 0.500 0.500 0.361
Se: 0.500 0.500 0.827
O: 0.000 0.500 0.264
O: 0.500 0.000 0.264

Largest 10 diffraction maxima, by angle, 5° ≤ 2θ ≤ 70°:
2theta	I/Imax
14.29	37
20.85	77
25.37	100
28.81	33
29.65	90
35.83	96
41.82	45
42.43	48
50.09	33
56.72	52

Entry 2:
Starting from a structure optimized by DFT (PBE), the powder diffractogram of YEr3Hg4 was simulated for Cu Kα (weighted mean of Kα1 and Kα2).
No peak broadening, texture or thermal motion is included.

Structural model:
a = 5.208 Å, b = 5.208 Å, c = 7.470 Å
α = 90.00°, β = 90.00°, γ = 90.00°
Element x y z (fractional)
Y: 0.000 0.000 0.000
Er: 0.000 0.000 0.500
Er: 0.500 0.500 0.000
Er: 0.500 0.500 0.500
Hg: 0.000 0.500 0.253
Hg: 0.000 0.500 0.747
Hg: 0.500 0.000 0.253
Hg: 0.500 0.000 0.747

Largest 10 diffraction maxima, by angle, 5° ≤ 2θ ≤ 70°:
2theta	I/Imax
11.85	1
23.82	1
24.17	3
34.19	100
34.44	49
42.31	1
48.76	9
49.50	18
61.06	19
61.53	37

Entry 3:
Starting from a structure optimized by DFT (PBE), the powder diffractogram of Al6ReAg was simulated for Cu Kα (weighted mean of Kα1 and Kα2).
No peak broadening, texture or thermal motion is included.

Structural model:
a = 5.802 Å, b = 5.802 Å, c = 5.516 Å
α = 105.66°, β = 105.66°, γ = 115.04°
Element x y z (fractional)
Al: 0.014 0.449 0.255
Al: 0.234 0.234 0.739
Al: 0.449 0.014 0.255
Al: 0.551 0.986 0.745
Al: 0.766 0.766 0.261
Al: 0.986 0.551 0.745
Re: 0.000 0.000 0.000
Ag: 0.500 0.500 0.500

Largest 10 diffraction maxima, by angle, 5° ≤ 2θ ≤ 70°:
2theta	I/Imax
18.13	55
19.80	100
32.03	50
35.60	34
36.73	28
38.14	32
41.53	38
42.17	24
45.07	18
52.05	32

Entry 4:
Starting from a structure optimized by DFT (PBE), the powder diffractogram of Sr was simulated for Cu Kα (weighted mean of Kα1 and Kα2).
No peak broadening, texture or thermal motion is included.

Structural model:
a = 10.802 Å, b = 10.802 Å, c = 10.802 Å
α = 92.03°, β = 92.03°, γ = 158.31°
Element x y z (fractional)
Sr: 0.090 0.358 0.448
Sr: 0.106 0.834 0.939
Sr: 0.166 0.106 0.272
Sr: 0.358 0.910 0.268
Sr: 0.642 0.090 0.732
Sr: 0.834 0.894 0.728
Sr: 0.894 0.166 0.061
Sr: 0.910 0.642 0.552

Largest 10 diffraction maxima, by angle, 5° ≤ 2θ ≤ 70°:
2theta	I/Imax
22.66	51
23.72	87
25.62	45
26.57	85
30.75	100
33.04	31
37.24	23
49.59	32
50.14	27
52.67	47